For NaCaMgFeSi4O12, a DFT-relaxed cell (GGA+U, Alexandria) gives the computed powder XRD pattern in this record (Cu Kα).
Lines closer than 0.1° are merged.

Peak list (10 most intense, 2θ from 10° to 90°, by angle)
19.8 deg, I 22, (0 2 0)
29.5 deg, I 100, (2 2 -1)
30.2 deg, I 37, (3 1 0)
34.7 deg, I 25, (1 3 -1)
35.1 deg, I 39, (0 0 2)
35.6 deg, I 38, (2 2 1)
41.9 deg, I 19, (3 3 -1)
44.1 deg, I 23, (4 0 -2)
60.8 deg, I 19, (1 3 -3)
65.5 deg, I 28, (5 3 1)

Atomic structure:
Cell: 9.841 8.972 5.343 Å, 90.00 107.05 90.00°
Space group C2 (No. 5)
Symmetry-distinct sites (fractional):
Na 0.000 0.000 0.000 [2 per cell]
Ca 0.000 0.599 0.500 [2 per cell]
Mg 0.000 0.391 0.000 [2 per cell]
Fe 0.000 0.197 0.500 [2 per cell]
Si 0.212 0.707 0.020 [4 per cell]
Si 0.212 0.890 0.514 [4 per cell]
O 0.115 0.216 0.881 [4 per cell]
O 0.115 0.382 0.398 [4 per cell]
O 0.137 0.548 0.935 [4 per cell]
O 0.140 0.052 0.443 [4 per cell]
O 0.147 0.784 0.246 [4 per cell]
O 0.152 0.808 0.742 [4 per cell]